Entry 1:
Diffraction record for Nd2HfSe5. The powder X-ray diffraction pattern is simulated, not measured: it uses a GGA-PBE-relaxed structure and Cu Kα (λ = 1.5418 Å).
Intensities are scaled so that the largest is 100.

Cell and atoms:
a = 5.543 Å, b = 14.204 Å, c = 13.546 Å
α = 90.00°, β = 90.00°, γ = 90.00°
Space group Cmcm (No. 63)
One atom of each set of equivalent atoms:
Nd  0.000  0.146  0.063
Hf  0.000  0.186  0.750
Se  0.000  0.048  0.624
Se  0.000  0.274  0.250
Se  0.000  0.303  0.591

The 6 most intense peaks (5° ≤ 2θ ≤ 70°), by angle:
| hkl | 2θ/deg | intensity |
| --- | --- | --- |
| 0 2 0 | 12.5 | 65.7 |
| 1 1 0 | 17.2 | 100.0 |
| 0 2 3 | 23.3 | 85.6 |
| 0 4 3 | 32.1 | 74.8 |
| 2 0 0 | 32.3 | 71.4 |
| 2 4 3 | 46.2 | 54.0 |

Entry 2:
Diffraction record for ScZnIrPt. The powder X-ray diffraction pattern is simulated, not measured: it uses a GGA-PBE-relaxed structure and Cu Kα (λ = 1.5418 Å).
Intensities are scaled so that the largest is 100.

Cell and atoms:
a = 3.590 Å, b = 4.134 Å, c = 4.200 Å
α = 90.00°, β = 90.00°, γ = 90.00°
Space group Pmmm (No. 47)
One atom of each set of equivalent atoms:
Sc  0.000  0.000  0.000
Zn  0.000  0.500  0.500
Ir  0.500  0.500  0.000
Pt  0.500  0.000  0.500

The 6 most intense peaks (5° ≤ 2θ ≤ 70°), by angle:
| hkl | 2θ/deg | intensity |
| --- | --- | --- |
| 1 0 0 | 24.8 | 23.3 |
| 0 1 1 | 30.3 | 28.4 |
| 1 1 1 | 39.6 | 100.0 |
| 0 0 2 | 43.1 | 19.7 |
| 0 2 0 | 43.8 | 18.8 |
| 2 0 2 | 68.8 | 15.8 |

Entry 3:
Diffraction record for ThZn3Ir. The powder X-ray diffraction pattern is simulated, not measured: it uses a GGA-PBE-relaxed structure and Cu Kα (λ = 1.5418 Å).
Intensities are scaled so that the largest is 100.

Cell and atoms:
a = 5.301 Å, b = 5.642 Å, c = 6.281 Å
α = 90.00°, β = 91.70°, γ = 90.00°
Space group P2_1/m (No. 11)
One atom of each set of equivalent atoms:
Th  0.156  0.250  0.154
Zn  0.109  0.750  0.391
Zn  0.350  0.019  0.678
Ir  0.336  0.750  0.029

The 6 most intense peaks (5° ≤ 2θ ≤ 70°), by angle:
| hkl | 2θ/deg | intensity |
| --- | --- | --- |
| 0 0 1 | 14.1 | 88.0 |
| 0 1 2 | 32.7 | 47.6 |
| 0 2 1 | 34.9 | 56.2 |
| 1 1 -2 | 36.5 | 100.0 |
| 1 2 1 | 39.1 | 70.4 |
| 2 1 -1 | 39.9 | 61.9 |

Entry 4:
Diffraction record for KSc4Cd. The powder X-ray diffraction pattern is simulated, not measured: it uses a GGA-PBE-relaxed structure and Cu Kα (λ = 1.5418 Å).
Intensities are scaled so that the largest is 100.

Cell and atoms:
a = 8.797 Å, b = 8.797 Å, c = 8.797 Å
α = 90.00°, β = 90.00°, γ = 90.00°
Space group F-43m (No. 216)
One atom of each set of equivalent atoms:
K  0.000  0.000  0.000
Sc  0.122  0.122  0.622
Cd  0.250  0.250  0.250

The 6 most intense peaks (5° ≤ 2θ ≤ 70°), by angle:
| hkl | 2θ/deg | intensity |
| --- | --- | --- |
| 2 2 0 | 28.7 | 44.3 |
| 3 1 1 | 33.8 | 100.0 |
| 2 2 2 | 35.3 | 25.8 |
| 4 2 2 | 50.8 | 16.7 |
| 3 3 3 | 54.2 | 31.2 |
| 4 4 0 | 59.4 | 22.5 |

Entry 5:
Diffraction record for Ac2CSe2N2. The powder X-ray diffraction pattern is simulated, not measured: it uses a GGA-PBE-relaxed structure and Cu Kα (λ = 1.5418 Å).
Intensities are scaled so that the largest is 100.

Cell and atoms:
a = 9.988 Å, b = 4.602 Å, c = 7.335 Å
α = 90.00°, β = 97.16°, γ = 90.00°
Space group C2/m (No. 12)
One atom of each set of equivalent atoms:
Ac  0.179  0.000  0.260
C  0.000  0.500  0.500
Se  0.132  0.000  0.833
N  0.114  0.500  0.449

The 6 most intense peaks (5° ≤ 2θ ≤ 70°), by angle:
| hkl | 2θ/deg | intensity |
| --- | --- | --- |
| 2 0 0 | 17.9 | 55.1 |
| 1 1 0 | 21.3 | 70.0 |
| 1 1 -1 | 24.0 | 98.9 |
| 0 0 2 | 24.5 | 83.3 |
| 1 1 -2 | 31.8 | 64.1 |
| 3 1 0 | 33.4 | 100.0 |

Entry 6:
Diffraction record for ZnHgPb2Au6. The powder X-ray diffraction pattern is simulated, not measured: it uses a GGA-PBE-relaxed structure and Cu Kα (λ = 1.5418 Å).
Intensities are scaled so that the largest is 100.

Cell and atoms:
a = 4.721 Å, b = 6.976 Å, c = 7.364 Å
α = 91.88°, β = 108.22°, γ = 109.01°
Space group P-1 (No. 2)
One atom of each set of equivalent atoms:
Zn  0.000  0.000  0.000
Hg  0.000  0.500  0.500
Pb  0.387  0.136  0.641
Au  0.099  0.348  0.861
Au  0.330  0.377  0.279
Au  0.350  0.790  0.913

The 6 most intense peaks (5° ≤ 2θ ≤ 70°), by angle:
| hkl | 2θ/deg | intensity |
| --- | --- | --- |
| 0 2 -1 | 28.5 | 44.7 |
| 0 2 -2 | 34.9 | 53.1 |
| 1 1 1 | 35.6 | 42.3 |
| 1 -1 2 | 37.3 | 79.5 |
| 1 0 -3 | 37.5 | 78.8 |
| -2 1 1 | 38.1 | 100.0 |

Entry 7:
Diffraction record for Hf3SbS8. The powder X-ray diffraction pattern is simulated, not measured: it uses a GGA-PBE-relaxed structure and Cu Kα (λ = 1.5418 Å).
Intensities are scaled so that the largest is 100.

Cell and atoms:
a = 12.802 Å, b = 7.392 Å, c = 8.143 Å
α = 90.00°, β = 122.35°, γ = 90.00°
Space group C2/m (No. 12)
One atom of each set of equivalent atoms:
Hf  0.000  0.000  0.000
Hf  0.250  0.250  0.000
Sb  0.000  0.500  0.000
S  0.013  0.245  0.790
S  0.237  0.000  0.208
S  0.242  0.500  0.210

The 6 most intense peaks (5° ≤ 2θ ≤ 70°), by angle:
| hkl | 2θ/deg | intensity |
| --- | --- | --- |
| 0 0 1 | 12.9 | 100.0 |
| 4 0 -1 | 28.2 | 35.9 |
| 2 2 -2 | 32.8 | 33.4 |
| 4 0 0 | 33.1 | 16.5 |
| 2 2 -3 | 41.5 | 13.8 |
| 0 4 0 | 49.3 | 15.9 |

Entry 8:
Diffraction record for VCo4. The powder X-ray diffraction pattern is simulated, not measured: it uses a GGA-PBE-relaxed structure and Cu Kα (λ = 1.5418 Å).
Intensities are scaled so that the largest is 100.

Cell and atoms:
a = 2.526 Å, b = 3.482 Å, c = 12.701 Å
α = 90.00°, β = 90.00°, γ = 90.00°
Space group Immm (No. 71)
One atom of each set of equivalent atoms:
V  0.000  0.000  0.000
Co  0.000  0.000  0.202
Co  0.000  0.000  0.396

The 6 most intense peaks (5° ≤ 2θ ≤ 70°), by angle:
| hkl | 2θ/deg | intensity |
| --- | --- | --- |
| 0 0 2 | 13.9 | 3.5 |
| 0 1 5 | 44.1 | 100.0 |
| 1 1 0 | 44.3 | 99.6 |
| 1 1 2 | 46.7 | 0.8 |
| 1 0 5 | 51.0 | 63.3 |
| 0 2 0 | 52.6 | 28.9 |

Entry 9:
Diffraction record for K2NaCd2. The powder X-ray diffraction pattern is simulated, not measured: it uses a GGA-PBE-relaxed structure and Cu Kα (λ = 1.5418 Å).
Intensities are scaled so that the largest is 100.

Cell and atoms:
a = 5.595 Å, b = 6.319 Å, c = 11.162 Å
α = 90.00°, β = 90.00°, γ = 90.00°
Space group Immm (No. 71)
One atom of each set of equivalent atoms:
K  0.000  0.000  0.199
Na  0.000  0.500  0.000
Cd  0.000  0.259  0.500

The 6 most intense peaks (5° ≤ 2θ ≤ 70°), by angle:
| hkl | 2θ/deg | intensity |
| --- | --- | --- |
| 0 0 2 | 15.9 | 69.4 |
| 1 0 1 | 17.7 | 99.1 |
| 1 0 3 | 28.8 | 71.9 |
| 2 0 0 | 32.0 | 69.6 |
| 0 2 2 | 32.6 | 50.7 |
| 1 2 1 | 33.5 | 100.0 |

Entry 10:
Diffraction record for Ac8Pm2Nd3. The powder X-ray diffraction pattern is simulated, not measured: it uses a GGA-PBE-relaxed structure and Cu Kα (λ = 1.5418 Å).
Intensities are scaled so that the largest is 100.

Cell and atoms:
a = 14.076 Å, b = 12.648 Å, c = 6.563 Å
α = 90.00°, β = 112.39°, γ = 90.00°
Space group C2/m (No. 12)
One atom of each set of equivalent atoms:
Ac  0.064  0.000  0.296
Ac  0.145  0.500  0.578
Ac  0.163  0.257  0.156
Pm  0.203  0.000  0.859
Nd  0.000  0.244  0.500
Nd  0.000  0.500  0.000

The 6 most intense peaks (5° ≤ 2θ ≤ 70°), by angle:
| hkl | 2θ/deg | intensity |
| --- | --- | --- |
| 2 2 1 | 27.5 | 28.6 |
| 0 4 0 | 28.2 | 55.8 |
| 1 1 -2 | 28.4 | 31.3 |
| 4 2 -1 | 29.4 | 100.0 |
| 3 1 1 | 30.4 | 25.5 |
| 4 6 -1 | 50.7 | 25.5 |

Entry 11:
Diffraction record for RbPr3Se4. The powder X-ray diffraction pattern is simulated, not measured: it uses a GGA-PBE-relaxed structure and Cu Kα (λ = 1.5418 Å).
Intensities are scaled so that the largest is 100.

Cell and atoms:
a = 4.3331 Å, b = 4.3331 Å, c = 29.9379 Å
α = 90.00°, β = 90.00°, γ = 120.00°
Space group P6_3/mmc (No. 194)
One atom of each set of equivalent atoms:
Rb  0.3333  0.6667  0.2500
Pr  0.0000  0.0000  0.0000
Pr  0.3333  0.6667  0.6149
Se  0.0000  0.0000  0.1698
Se  0.3333  0.6667  0.0577

The 6 most intense peaks (5° ≤ 2θ ≤ 70°), by angle:
| hkl | 2θ/deg | intensity |
| --- | --- | --- |
| 0 0 2 | 5.9 | 48.7 |
| 1 0 5 | 28.1 | 61.2 |
| 1 0 6 | 29.8 | 100.0 |
| 1 0 11 | 41.0 | 38.3 |
| 1 1 0 | 41.7 | 70.2 |
| 1 0 12 | 43.6 | 28.2 |